Entry 1:
Starting from DFT lattice parameters and positions (GGA-PBE), the powder XRD pattern of NaLiMg6O7 was computed for CuKα.
Kinematic intensities with the Lorentz-polarization factor, no thermal factor.

Top 10 peaks for 15 to 90 degrees two-theta, in order of rising 2θ:
hkl  2theta  d [Å]  I/Imax
1 0 0  20.63  4.306  11
1 0 1  23.07  3.855  9
1 1 1  31.14  2.872  13
1 1 2  36.07  2.490  17
0 0 4  41.75  2.163  41
2 0 0  41.96  2.153  100
2 0 4  60.69  1.526  46
2 2 0  60.85  1.522  28
1 1 5  61.64  1.505  10
2 2 4  76.52  1.245  21

Cell and atoms:
```
data_NaLiMg6O7
_chemical_formula_sum 'Na1 Li1 Mg6 O7'
_space_group_name_H-M_alt 'P 4 m m'
_space_group_IT_number 99
_cell_length_a 4.3059
_cell_length_b 4.3059
_cell_length_c 8.6537
_cell_angle_alpha 90.00
_cell_angle_beta 90.00
_cell_angle_gamma 90.00
loop_
_space_group_symop_operation_xyz
'x,y,z'
'-y,x,z'
'-x,-y,z'
'y,-x,z'
'-x,y,z'
'y,x,z'
'x,-y,z'
'-y,-x,z'
loop_
_atom_site_label
_atom_site_fract_x
_atom_site_fract_y
_atom_site_fract_z
Na1 0.0000 0.0000 0.0000
Li1 0.5000 0.5000 0.9806
Mg1 0.0000 0.0000 0.4955
Mg2 0.0000 0.5000 0.2340
Mg3 0.0000 0.5000 0.7762
Mg4 0.5000 0.5000 0.5215
O1 0.0000 0.0000 0.2603
O2 0.0000 0.0000 0.7311
O3 0.0000 0.5000 0.0115
O4 0.0000 0.5000 0.4739
O5 0.5000 0.5000 0.7484
```

---

Entry 2:
Starting from DFT lattice parameters and positions (GGA-PBE), the powder XRD pattern of NaLiMg6O7 was computed for CuKα.
Kinematic intensities with the Lorentz-polarization factor, no thermal factor.

Top 10 peaks for 15 to 90 degrees two-theta, in order of rising 2θ:
hkl  2theta  d [Å]  I/Imax
1 0 1  23.20  3.834  10
1 0 2  29.35  3.044  9
1 1 1  31.34  2.854  7
1 1 2  36.23  2.479  17
0 0 4  41.68  2.167  48
2 0 0  42.28  2.138  100
2 0 4  60.87  1.522  53
2 2 0  61.33  1.511  28
3 1 2  73.36  1.291  7
2 2 4  76.90  1.240  23

Cell and atoms:
```
data_NaLiMg6O7
_chemical_formula_sum 'Na1 Li1 Mg6 O7'
_space_group_name_H-M_alt 'P 4 m m'
_space_group_IT_number 99
_cell_length_a 4.2751
_cell_length_b 4.2751
_cell_length_c 8.6681
_cell_angle_alpha 90.00
_cell_angle_beta 90.00
_cell_angle_gamma 90.00
loop_
_space_group_symop_operation_xyz
'x,y,z'
'-y,x,z'
'-x,-y,z'
'y,-x,z'
'-x,y,z'
'y,x,z'
'x,-y,z'
'-y,-x,z'
loop_
_atom_site_label
_atom_site_fract_x
_atom_site_fract_y
_atom_site_fract_z
Na1 0.0000 0.0000 0.0000
Li1 0.0000 0.0000 0.5025
Mg1 0.0000 0.5000 0.2579
Mg2 0.0000 0.5000 0.7451
Mg3 0.5000 0.5000 0.0154
Mg4 0.5000 0.5000 0.4815
O1 0.0000 0.0000 0.2608
O2 0.0000 0.0000 0.7366
O3 0.0000 0.5000 0.5118
O4 0.0000 0.5000 0.9778
O5 0.5000 0.5000 0.2490
```

---

Please write out number 2 again, unchanged.
Starting from DFT lattice parameters and positions (GGA-PBE), the powder XRD pattern of NaLiMg6O7 was computed for CuKα.
Kinematic intensities with the Lorentz-polarization factor, no thermal factor.

Top 10 peaks for 15 to 90 degrees two-theta, in order of rising 2θ:
hkl  2theta  d [Å]  I/Imax
1 0 1  23.20  3.834  10
1 0 2  29.35  3.044  9
1 1 1  31.34  2.854  7
1 1 2  36.23  2.479  17
0 0 4  41.68  2.167  48
2 0 0  42.28  2.138  100
2 0 4  60.87  1.522  53
2 2 0  61.33  1.511  28
3 1 2  73.36  1.291  7
2 2 4  76.90  1.240  23

Cell and atoms:
```
data_NaLiMg6O7
_chemical_formula_sum 'Na1 Li1 Mg6 O7'
_space_group_name_H-M_alt 'P 4 m m'
_space_group_IT_number 99
_cell_length_a 4.2751
_cell_length_b 4.2751
_cell_length_c 8.6681
_cell_angle_alpha 90.00
_cell_angle_beta 90.00
_cell_angle_gamma 90.00
loop_
_space_group_symop_operation_xyz
'x,y,z'
'-y,x,z'
'-x,-y,z'
'y,-x,z'
'-x,y,z'
'y,x,z'
'x,-y,z'
'-y,-x,z'
loop_
_atom_site_label
_atom_site_fract_x
_atom_site_fract_y
_atom_site_fract_z
Na1 0.0000 0.0000 0.0000
Li1 0.0000 0.0000 0.5025
Mg1 0.0000 0.5000 0.2579
Mg2 0.0000 0.5000 0.7451
Mg3 0.5000 0.5000 0.0154
Mg4 0.5000 0.5000 0.4815
O1 0.0000 0.0000 0.2608
O2 0.0000 0.0000 0.7366
O3 0.0000 0.5000 0.5118
O4 0.0000 0.5000 0.9778
O5 0.5000 0.5000 0.2490
```